Structure and computed powder diffraction line list of Co7GeN6 (a crystal structure in the Materials Project, relaxed with GGA-PBE; Cu Kα).

Cell and atoms:
```
data_Co7GeN6
_cell_length_a 10.014
_cell_length_b 5.585
_cell_length_c 11.018
_cell_angle_alpha 90.00
_cell_angle_beta 90.00
_cell_angle_gamma 90.00
_space_group_name_H-M_alt 'P b c n'
_space_group_IT_number 60
loop_
_space_group_symop_operation_xyz
'x,y,z'
'-x,-y,-z'
'-x+1/2,-y+1/2,z+1/2'
'x+1/2,y+1/2,-z+1/2'
'x+1/2,-y+1/2,-z'
'-x+1/2,y+1/2,z'
'-x,y,-z+1/2'
'x,-y,z+1/2'
loop_
_atom_site_label
_atom_site_type_symbol
_atom_site_fract_x
_atom_site_fract_y
_atom_site_fract_z
Co1 Co 0.000 0.072 0.250
Co2 Co 0.012 0.230 0.032
Co3 Co 0.176 0.094 0.593
Co4 Co 0.243 0.183 0.888
Ge1 Ge 0.000 0.416 0.750
N1 N 0.085 0.320 0.338
N2 N 0.137 0.167 0.751
N3 N 0.190 0.217 0.045
```

Most intense lines, 2θ = 15–90°, most intense first:
37.25°, d = 2.414 Å, I = 100.0
37.78°, d = 2.381 Å, I = 52.9
40.59°, d = 2.223 Å, I = 32.9
35.87°, d = 2.503 Å, I = 31.7
40.45°, d = 2.230 Å, I = 26.9
36.06°, d = 2.491 Å, I = 22.2
51.78°, d = 1.766 Å, I = 21.1
28.92°, d = 3.088 Å, I = 17.7
24.02°, d = 3.705 Å, I = 17.6
49.63°, d = 1.837 Å, I = 15.8
39.91°, d = 2.259 Å, I = 15.4
31.22°, d = 2.865 Å, I = 14.3